(1)
Calculated PXRD pattern of PuAl9Rh2 for λ = 1.5418 Å (Cu Kα), from a PBE-relaxed structure.
Intensities are scaled so that the largest is 100.

Peak list (6 most intense, 10° ≤ 2θ ≤ 90°, most intense first)
2θ (°)  I (rel.)  index
22.59  100  2 1 1
32.81  62  3 2 1
37.21  60  3 1 2
37.52  34  4 2 0
16.54  30  2 0 0
33.44  30  4 0 0

Structure:
```
data_PuAl9Rh2
_cell_length_a 10.7200
_cell_length_b 10.7200
_cell_length_c 6.8920
_cell_angle_alpha 90.00
_cell_angle_beta 90.00
_cell_angle_gamma 90.00
_space_group_name_H-M_alt 'I 41/a m d'
_space_group_IT_number 141
loop_
_space_group_symop_operation_xyz
'x,y,z'
'-x,-y,-z'
'-y+1/4,x+3/4,z+1/4'
'y+1/4,-x+3/4,-z+1/4'
'-x+1/2,-y,z+1/2'
'x+1/2,y,-z+1/2'
'y+1/4,-x+1/4,z+3/4'
'-y+1/4,x+1/4,-z+3/4'
'x,-y,-z'
'-x,y,z'
'-y+1/4,-x+1/4,-z+3/4'
'y+1/4,x+1/4,z+3/4'
'-x+1/2,y,-z+1/2'
'x+1/2,-y,z+1/2'
'y+1/4,x+3/4,-z+1/4'
'-y+1/4,-x+3/4,z+1/4'
'x+1/2,y+1/2,z+1/2'
'-x+1/2,-y+1/2,-z+1/2'
'-y+3/4,x+1/4,z+3/4'
'y+3/4,-x+1/4,-z+3/4'
'-x,-y+1/2,z'
'x,y+1/2,-z'
'y+3/4,-x+3/4,z+1/4'
'-y+3/4,x+3/4,-z+1/4'
'x+1/2,-y+1/2,-z+1/2'
'-x+1/2,y+1/2,z+1/2'
'-y+3/4,-x+3/4,-z+1/4'
'y+3/4,x+3/4,z+1/4'
'-x,y+1/2,-z'
'x,-y+1/2,z'
'y+3/4,x+1/4,-z+3/4'
'-y+3/4,-x+1/4,z+3/4'
loop_
_atom_site_label
_atom_site_type_symbol
_atom_site_fract_x
_atom_site_fract_y
_atom_site_fract_z
Pu1 Pu 0.0000 0.2500 0.3750
Al1 Al 0.0000 0.2500 0.8750
Al2 Al 0.1213 0.0505 0.6819
Rh1 Rh 0.0000 0.0000 0.0000
```

(2)
Calculated PXRD pattern of Pu2AlRh3 for λ = 1.5418 Å (Cu Kα), from a PBE-relaxed structure.
Intensities are scaled so that the largest is 100.

Peak list (6 most intense, 10° ≤ 2θ ≤ 90°, most intense first)
2θ (°)  I (rel.)  index
38.96  100  1 0 3
39.53  41  1 1 2
61.79  31  2 1 3
32.06  29  1 1 0
80.34  23  3 1 3
18.35  18  1 0 0

Structure:
```
data_Pu2AlRh3
_cell_length_a 5.5843
_cell_length_b 5.5843
_cell_length_c 7.8965
_cell_angle_alpha 90.00
_cell_angle_beta 90.00
_cell_angle_gamma 120.00
_space_group_name_H-M_alt 'P 63/m m c'
_space_group_IT_number 194
_space_group_name_Hall '-P 6c 2c'
loop_
_atom_site_label
_atom_site_type_symbol
_atom_site_fract_x
_atom_site_fract_y
_atom_site_fract_z
Pu1 Pu 0.3333 0.6667 0.0700
Al1 Al 0.0000 0.0000 0.0000
Rh1 Rh 0.1697 0.3393 0.7500
```

(3)
Calculated PXRD pattern of Pu2AlRu3 for λ = 1.5418 Å (Cu Kα), from a PBE-relaxed structure.
Intensities are scaled so that the largest is 100.

Peak list (6 most intense, 10° ≤ 2θ ≤ 90°, most intense first)
2θ (°)  I (rel.)  index
38.60  100  1 3 1
41.24  17  2 0 0
21.27  12  1 1 0
73.40  12  3 3 1
69.92  12  1 9 1
57.81  12  2 6 0

Structure:
```
data_Pu2AlRu3
_cell_length_a 4.3781
_cell_length_b 13.9706
_cell_length_c 3.4235
_cell_angle_alpha 90.00
_cell_angle_beta 90.00
_cell_angle_gamma 90.00
_space_group_name_H-M_alt 'P m m n'
_space_group_IT_number 59
loop_
_space_group_symop_operation_xyz
'x,y,z'
'-x,-y,-z'
'-x+1/2,-y+1/2,z'
'x+1/2,y+1/2,-z'
'x+1/2,-y,-z'
'-x+1/2,y,z'
'-x,y+1/2,-z'
'x,-y+1/2,z'
loop_
_atom_site_label
_atom_site_type_symbol
_atom_site_fract_x
_atom_site_fract_y
_atom_site_fract_z
Pu1 Pu 0.2500 0.0901 0.0016
Al1 Al 0.2500 0.7500 0.9975
Ru1 Ru 0.2500 0.2500 0.5025
Ru2 Ru 0.2500 0.5953 0.4983
```

(4)
Calculated PXRD pattern of PuScAlZn for λ = 1.5418 Å (Cu Kα), from a PBE-relaxed structure.
Intensities are scaled so that the largest is 100.

Peak list (6 most intense, 10° ≤ 2θ ≤ 90°, most intense first)
2θ (°)  I (rel.)  index
36.46  100  2 2 0
22.09  60  1 1 1
65.61  36  4 2 2
43.04  34  3 1 1
25.56  28  2 0 0
52.51  18  4 0 0

Structure:
```
data_PuScAlZn
_cell_length_a 6.9706
_cell_length_b 6.9706
_cell_length_c 6.9706
_cell_angle_alpha 90.00
_cell_angle_beta 90.00
_cell_angle_gamma 90.00
_space_group_name_H-M_alt 'F -4 3 m'
_space_group_IT_number 216
_space_group_name_Hall 'F -4 2 3'
loop_
_atom_site_label
_atom_site_type_symbol
_atom_site_fract_x
_atom_site_fract_y
_atom_site_fract_z
Pu1 Pu 0.0000 0.0000 0.0000
Sc1 Sc 0.0000 0.0000 0.5000
Al1 Al 0.2500 0.2500 0.2500
Zn1 Zn 0.2500 0.2500 0.7500
```

Question: Which formula does entry 1 have?
Answer: PuAl9Rh2